1.
Computed powder diffractogram
Compound: CePaZn4
Radiation: λ = 1.5418 Å (Cu Kα)
Structure: a PBE-relaxed structure
Kinematic intensities with the Lorentz-polarization factor, no thermal factor.

The 6 most intense peaks (2θ from 15° to 90°), by angle:
d_spacing	2theta	Rel. int.	index
4.043	21.98	33.5	0 1 1
2.469	36.39	100.0	1 0 2
2.337	38.53	46.7	0 1 3
2.330	38.65	23.2	0 2 0
1.695	54.10	21.4	1 2 2
1.296	72.97	21.0	2 2 0

Structure:
```
data_CePaZn4
_chemical_formula_sum 'Ce1 Pa1 Zn4'
_symmetry_space_group_name_H-M 'P m m m'
_symmetry_Int_Tables_number 47
_symmetry_space_group_name_Hall '-P 2 2'
_cell_length_a 3.1180
_cell_length_b 4.6593
_cell_length_c 8.1033
_cell_angle_alpha 90.00
_cell_angle_beta 90.00
_cell_angle_gamma 90.00
loop_
_atom_site_label
_atom_site_type_symbol
_atom_site_fract_x
_atom_site_fract_y
_atom_site_fract_z
Ce1 Ce 0.0000 0.0000 0.0000
Pa1 Pa 0.0000 0.5000 0.5000
Zn1 Zn 0.5000 0.0000 0.3365
Zn2 Zn 0.5000 0.5000 0.1704
```

2.
Computed powder diffractogram
Compound: CeZrPa
Radiation: λ = 1.5418 Å (Cu Kα)
Structure: a PBE-relaxed structure
Kinematic intensities with the Lorentz-polarization factor, no thermal factor.

The 6 most intense peaks (2θ from 15° to 90°), by angle:
d_spacing	2theta	Rel. int.	index
2.727	32.84	88.2	0 0 6
2.689	33.32	69.6	2 0 1
2.545	35.27	100.0	1 1 -3
2.432	36.96	72.7	1 1 3
2.425	37.08	32.1	2 0 -4
1.613	57.11	34.7	3 1 -1

Structure:
```
data_CeZrPa
_chemical_formula_sum 'Ce4 Zr4 Pa4'
_symmetry_space_group_name_H-M 'C 1 2/m 1'
_symmetry_Int_Tables_number 12
_symmetry_space_group_name_Hall '-C 2y'
_cell_length_a 5.5812
_cell_length_b 3.2355
_cell_length_c 16.4634
_cell_angle_alpha 90.00
_cell_angle_beta 96.42
_cell_angle_gamma 90.00
loop_
_atom_site_label
_atom_site_type_symbol
_atom_site_fract_x
_atom_site_fract_y
_atom_site_fract_z
Ce1 Ce 0.1953 0.0000 0.0845
Zr1 Zr 0.1966 0.5000 0.5811
Pa1 Pa 0.0896 0.5000 0.2541
```

3.
Computed powder diffractogram
Compound: Ce7Pb
Radiation: λ = 1.5418 Å (Cu Kα)
Structure: a PBE-relaxed structure
Kinematic intensities with the Lorentz-polarization factor, no thermal factor.

The 6 most intense peaks (2θ from 15° to 90°), by angle:
d_spacing	2theta	Rel. int.	index
2.740	32.68	100.0	2 2 2
2.373	37.92	50.2	4 0 0
1.678	54.70	34.8	4 4 0
1.431	65.20	41.0	6 2 2
1.370	68.48	11.8	4 4 4
1.187	81.04	5.6	8 0 0

Structure:
```
data_Ce7Pb
_chemical_formula_sum 'Ce28 Pb4'
_symmetry_space_group_name_H-M 'F m -3 m'
_symmetry_Int_Tables_number 225
_symmetry_space_group_name_Hall '-F 4 2 3'
_cell_length_a 9.4920
_cell_length_b 9.4920
_cell_length_c 9.4920
_cell_angle_alpha 90.00
_cell_angle_beta 90.00
_cell_angle_gamma 90.00
loop_
_atom_site_label
_atom_site_type_symbol
_atom_site_fract_x
_atom_site_fract_y
_atom_site_fract_z
Ce1 Ce 0.0000 0.0000 0.0000
Ce2 Ce 0.0000 0.2500 0.2500
Pb1 Pb 0.0000 0.0000 0.5000
```

4.
Computed powder diffractogram
Compound: Ce7Pb2
Radiation: λ = 1.5418 Å (Cu Kα)
Structure: a PBE-relaxed structure
Kinematic intensities with the Lorentz-polarization factor, no thermal factor.

The 6 most intense peaks (2θ from 15° to 90°), by angle:
d_spacing	2theta	Rel. int.	index
2.741	32.67	100.0	1 1 0
2.623	34.18	73.7	1 0 3
1.895	48.00	28.5	0 2 3
1.583	58.30	19.2	3 0 0
1.559	59.28	30.4	2 1 3
1.215	78.78	13.4	1 3 3

Structure:
```
data_Ce7Pb2
_chemical_formula_sum 'Ce7 Pb2'
_symmetry_space_group_name_H-M 'P -3 m 1'
_symmetry_Int_Tables_number 164
_symmetry_space_group_name_Hall '-P 3 2"'
_cell_length_a 5.4824
_cell_length_b 5.4824
_cell_length_c 9.4417
_cell_angle_alpha 90.00
_cell_angle_beta 90.00
_cell_angle_gamma 120.00
loop_
_atom_site_label
_atom_site_type_symbol
_atom_site_fract_x
_atom_site_fract_y
_atom_site_fract_z
Ce1 Ce 0.0000 0.0000 0.0000
Ce2 Ce 0.0000 0.0000 0.3177
Ce3 Ce 0.3333 0.6667 0.2217
Ce4 Ce 0.3333 0.6667 0.5069
Pb1 Pb 0.3333 0.6667 0.8586
```

5.
Computed powder diffractogram
Compound: Ce2Pb3
Radiation: λ = 1.5418 Å (Cu Kα)
Structure: a PBE-relaxed structure
Kinematic intensities with the Lorentz-polarization factor, no thermal factor.

The 6 most intense peaks (2θ from 15° to 90°), by angle:
d_spacing	2theta	Rel. int.	index
2.835	31.56	100.0	1 2 1
2.507	35.82	35.1	3 1 0
2.360	38.12	15.9	0 0 2
1.719	53.30	22.9	3 1 2
1.503	61.71	25.4	5 0 1
1.438	64.82	13.1	1 2 3

Structure:
```
data_Ce2Pb3
_chemical_formula_sum 'Ce4 Pb6'
_symmetry_space_group_name_H-M 'P 4/m'
_symmetry_Int_Tables_number 83
_symmetry_space_group_name_Hall '-P 4'
_cell_length_a 7.9280
_cell_length_b 7.9280
_cell_length_c 4.7209
_cell_angle_alpha 90.00
_cell_angle_beta 90.00
_cell_angle_gamma 90.00
loop_
_atom_site_label
_atom_site_type_symbol
_atom_site_fract_x
_atom_site_fract_y
_atom_site_fract_z
Ce1 Ce 0.1363 0.6961 0.0000
Pb1 Pb 0.0000 0.0000 0.5000
Pb2 Pb 0.1841 0.3997 0.5000
Pb3 Pb 0.5000 0.5000 0.0000
```

6.
Computed powder diffractogram
Compound: Ce5Pb2
Radiation: λ = 1.5418 Å (Cu Kα)
Structure: a PBE-relaxed structure
Kinematic intensities with the Lorentz-polarization factor, no thermal factor.

The 6 most intense peaks (2θ from 15° to 90°), by angle:
d_spacing	2theta	Rel. int.	index
2.762	32.42	100.0	1 1 2
2.744	32.64	54.6	2 0 -3
2.655	33.76	92.5	3 1 -1
2.398	37.50	25.7	4 0 1
2.044	44.31	23.7	0 2 0
1.639	56.11	23.9	2 2 -3

Structure:
```
data_Ce5Pb2
_chemical_formula_sum 'Ce10 Pb4'
_symmetry_space_group_name_H-M 'C 1 2/m 1'
_symmetry_Int_Tables_number 12
_symmetry_space_group_name_Hall '-C 2y'
_cell_length_a 10.7361
_cell_length_b 4.0882
_cell_length_c 8.7566
_cell_angle_alpha 90.00
_cell_angle_beta 100.78
_cell_angle_gamma 90.00
loop_
_atom_site_label
_atom_site_type_symbol
_atom_site_fract_x
_atom_site_fract_y
_atom_site_fract_z
Ce1 Ce 0.0000 0.0000 0.0000
Ce2 Ce 0.1646 0.0000 0.4438
Ce3 Ce 0.1814 0.5000 0.1169
Pb1 Pb 0.0794 0.5000 0.7235
```

7.
Computed powder diffractogram
Compound: CePdPb
Radiation: λ = 1.5418 Å (Cu Kα)
Structure: a PBE-relaxed structure
Kinematic intensities with the Lorentz-polarization factor, no thermal factor.

The 6 most intense peaks (2θ from 15° to 90°), by angle:
d_spacing	2theta	Rel. int.	index
2.730	32.81	100.0	1 0 4
2.429	37.01	86.4	1 1 0
1.815	50.28	30.2	2 0 4
1.454	64.06	29.2	2 1 4
1.443	64.58	30.7	1 1 8
1.402	66.71	15.5	3 0 0

Structure:
```
data_CePdPb
_chemical_formula_sum 'Ce4 Pd4 Pb4'
_symmetry_space_group_name_H-M 'P 63/m m c'
_symmetry_Int_Tables_number 194
_symmetry_space_group_name_Hall '-P 6c 2c'
_cell_length_a 4.8573
_cell_length_b 4.8573
_cell_length_c 14.3532
_cell_angle_alpha 90.00
_cell_angle_beta 90.00
_cell_angle_gamma 120.00
loop_
_atom_site_label
_atom_site_type_symbol
_atom_site_fract_x
_atom_site_fract_y
_atom_site_fract_z
Ce1 Ce 0.0000 0.0000 0.0000
Ce2 Ce 0.0000 0.0000 0.2500
Pd1 Pd 0.3333 0.6667 0.1117
Pb1 Pb 0.3333 0.6667 0.6272
```

8.
Computed powder diffractogram
Compound: CePd7Pb2
Radiation: λ = 1.5418 Å (Cu Kα)
Structure: a PBE-relaxed structure
Kinematic intensities with the Lorentz-polarization factor, no thermal factor.

The 6 most intense peaks (2θ from 15° to 90°), by angle:
d_spacing	2theta	Rel. int.	index
4.376	20.29	45.8	0 0 1
3.749	23.73	31.5	2 0 0
3.649	24.39	33.7	1 1 1
2.254	39.99	100.0	1 5 1
2.188	41.26	35.9	0 0 2
2.145	42.13	50.8	3 1 1

Structure:
```
data_CePd7Pb2
_chemical_formula_sum 'Ce2 Pd14 Pb4'
_symmetry_space_group_name_H-M 'C m m m'
_symmetry_Int_Tables_number 65
_symmetry_space_group_name_Hall '-C 2 2'
_cell_length_a 7.4974
_cell_length_b 14.0438
_cell_length_c 4.3760
_cell_angle_alpha 90.00
_cell_angle_beta 90.00
_cell_angle_gamma 90.00
loop_
_atom_site_label
_atom_site_type_symbol
_atom_site_fract_x
_atom_site_fract_y
_atom_site_fract_z
Ce1 Ce 0.0000 0.0000 0.0000
Pd1 Pd 0.0000 0.1908 0.0000
Pd2 Pd 0.0000 0.5000 0.5000
Pd3 Pd 0.1801 0.1015 0.5000
Pb1 Pb 0.0000 0.3052 0.5000
```